No. 1
Theoretical X-ray powder pattern
Compound: Ho2Al3Ag
Radiation: copper Kα
Structure: a GGA-PBE-relaxed structure
Peak positions follow from Bragg's law for the DFT cell and can differ from measured ones.

Structure:
Lattice parameters (Å, degrees): 7.067 9.126 15.859 90.00 90.00 90.00
Space group Fmmm (No. 69)
Asymmetric unit:
Ho (0.248, 0.000, 0.000)
Ho (0.250, 0.250, 0.250)
Al (0.000, 0.000, 0.334)
Al (0.000, 0.250, 0.083)
Ag (0.000, 0.000, 0.168)

Principal peaks in the range 10° ≤ 2θ ≤ 90°, by intensity:
- d = 2.635 Å, I 1000, hkl 2 2 2
- d = 3.958 Å, I 611, hkl 0 0 4
- d = 2.287 Å, I 507, hkl 0 2 6
- d = 2.638 Å, I 503, hkl 2 0 4
- d = 1.398 Å, I 312, hkl 4 4 0
- d = 1.726 Å, I 277, hkl 2 4 4
- d = 1.379 Å, I 263, hkl 2 4 8
- d = 2.281 Å, I 249, hkl 0 4 0
- d = 1.729 Å, I 149, hkl 2 0 8
- d = 1.318 Å, I 138, hkl 0 6 6



No. 2
Theoretical X-ray powder pattern
Compound: Pr3AgSn3
Radiation: copper Kα
Structure: a GGA-PBE-relaxed structure
Peak positions follow from Bragg's law for the DFT cell and can differ from measured ones.

Structure:
Lattice parameters (Å, degrees): 11.735 4.738 15.348 90.00 109.63 90.00
Space group C2/m (No. 12)
Asymmetric unit:
Pr (0.033, 0.000, 0.382)
Pr (0.099, 0.000, 0.922)
Pr (0.239, 0.000, 0.226)
Ag (0.237, 0.500, 0.393)
Sn (0.024, 0.500, 0.232)
Sn (0.125, 0.500, 0.075)
Sn (0.134, 0.500, 0.548)

Principal peaks in the range 10° ≤ 2θ ≤ 90°, by intensity:
- d = 2.982 Å, I 1000, hkl 1 1 -4
- d = 2.480 Å, I 938, hkl 3 1 2
- d = 2.369 Å, I 638, hkl 0 2 0
- d = 3.037 Å, I 619, hkl 1 1 3
- d = 2.930 Å, I 469, hkl 4 0 -2
- d = 2.632 Å, I 461, hkl 3 1 -4
- d = 3.010 Å, I 374, hkl 3 1 -1
- d = 1.842 Å, I 332, hkl 4 2 -2
- d = 2.409 Å, I 270, hkl 0 0 6
- d = 1.580 Å, I 239, hkl 7 1 -3